No. 1
Computed powder diffraction line list of LiBBr4 for a wavelength of 1.5418 Å, from DFT lattice parameters and positions (PBE).

Principal peaks in the range 5 to 70 degrees two-theta, low angle first:
2theta	Rel. int.
15.48	33
18.34	100
25.08	63
31.24	71
40.47	34
45.36	25

Cell and atoms:
```
12
Lattice="7.1025 0.0000 0.0000 0.0000 7.1025 0.0000 0.0000 0.0000 9.6756" Properties=species:S:1:pos:R:3 pbc="T T T"
Li 0.0000 0.0000 0.0000
Li 0.0000 0.0000 4.8378
B 0.0000 3.5512 0.0000
B 3.5512 0.0000 4.8378
Br 1.5459 2.0372 0.0000
Br 1.5459 5.0653 0.0000
Br 2.0372 1.5459 4.8378
Br 2.0372 5.5566 4.8378
Br 5.0653 1.5459 4.8378
Br 5.0653 5.5566 4.8378
Br 5.5566 2.0372 0.0000
Br 5.5566 5.0653 0.0000
```

***

No. 2
Computed powder diffraction line list of NaIn14Sn for a wavelength of 1.5418 Å, from DFT lattice parameters and positions (PBE).

Principal peaks in the range 5 to 70 degrees two-theta, low angle first:
2theta	Rel. int.
32.75	100
35.81	39
42.08	12
51.54	13
56.41	20
62.42	30

Cell and atoms:
```
16
Lattice="7.0931 0.0000 0.0000 0.0000 7.0931 0.0000 0.0000 0.0000 8.5898" Properties=species:S:1:pos:R:3 pbc="T T T"
Na 0.0000 0.0000 0.0000
In 0.0000 0.0000 4.2949
In 0.0000 3.5466 0.0000
In 0.0000 3.5466 4.2949
In 1.7875 1.7875 2.1523
In 1.7875 1.7875 6.4376
In 1.7875 5.3056 2.1523
In 1.7875 5.3056 6.4376
In 3.5466 0.0000 0.0000
In 3.5466 0.0000 4.2949
In 3.5466 3.5466 4.2949
In 5.3056 1.7875 2.1523
In 5.3056 1.7875 6.4376
In 5.3056 5.3056 2.1523
In 5.3056 5.3056 6.4376
Sn 3.5466 3.5466 0.0000
```

***

No. 3
Computed powder diffraction line list of Tc5Au3 for a wavelength of 1.5418 Å, from DFT lattice parameters and positions (PBE).

Principal peaks in the range 5 to 70 degrees two-theta, low angle first:
2theta	Rel. int.
26.44	68
34.14	73
39.03	99
40.00	79
40.33	100
40.58	86

Cell and atoms:
```
16
Lattice="2.4457 -7.2480 0.0000 2.4457 7.2480 0.0000 -2.1844 0.0000 7.6218" Properties=species:S:1:pos:R:3 pbc="T T T"
Tc 0.2717 5.1588 6.3165
Tc 2.4354 5.1588 1.3053
Tc -0.0081 1.2566 5.4467
Tc 1.2180 0.0000 0.3900
Tc -0.0081 -1.2566 5.4467
Tc 2.7152 1.2566 2.1751
Tc 1.4890 0.0000 7.2318
Tc 2.7152 -1.2566 2.1751
Tc 0.2717 -5.1588 6.3165
Tc 2.4354 -5.1588 1.3053
Au 0.1810 0.0000 3.0317
Au 1.3535 3.0386 3.8109
Au 2.4457 2.7957 0.0000
Au 2.4457 -2.7957 0.0000
Au 1.3535 -3.0386 3.8109
Au 2.5261 0.0000 4.5901
```

***

No. 4
Computed powder diffraction line list of Dy3BSe6 for a wavelength of 1.5418 Å, from DFT lattice parameters and positions (PBE).

Principal peaks in the range 5 to 70 degrees two-theta, low angle first:
2theta	Rel. int.
24.71	96
25.09	56
34.07	100
37.18	80
37.97	47
49.34	52

Cell and atoms:
```
20
Lattice="5.5464 -6.8366 0.0000 5.5464 6.8366 0.0000 0.0000 0.0000 6.5766" Properties=species:S:1:pos:R:3 pbc="T T T"
Dy 5.5464 5.5060 3.2883
Dy 3.5313 1.3635 2.5532
Dy 3.5313 -1.3635 5.8415
Dy 7.5615 1.3635 2.5532
Dy 7.5615 -1.3635 5.8415
Dy 5.5464 -5.5060 0.0000
B 5.5464 2.6913 5.5403
B 5.5464 -2.6913 2.2520
Se 3.8603 3.5347 4.6090
Se 1.8079 0.4880 4.5720
Se 1.8079 -0.4880 1.2837
Se 5.5464 2.8658 1.0444
Se 7.2326 3.5347 4.6090
Se 5.5464 0.7194 4.7528
Se 5.5464 -0.7194 1.4645
Se 3.8603 -3.5347 1.3207
Se 5.5464 -2.8658 4.3327
Se 9.2850 0.4880 4.5720
Se 9.2850 -0.4880 1.2837
Se 7.2326 -3.5347 1.3207
```

***

No. 5
Computed powder diffraction line list of Cd8Rh2Au for a wavelength of 1.5418 Å, from DFT lattice parameters and positions (PBE).

Principal peaks in the range 5 to 70 degrees two-theta, low angle first:
2theta	Rel. int.
37.68	100
37.81	89
39.03	47
39.69	46
56.89	31
69.85	30

Cell and atoms:
```
11
Lattice="4.3010 -5.5781 0.0000 4.3010 5.5781 0.0000 0.0000 0.0000 4.6158" Properties=species:S:1:pos:R:3 pbc="T T T"
Cd 1.4326 0.0000 0.0000
Cd 2.8191 1.5169 2.3079
Cd 4.3010 2.8387 0.0000
Cd 2.8191 -1.5169 2.3079
Cd 5.7829 1.5169 2.3079
Cd 4.3010 -2.8387 0.0000
Cd 5.7829 -1.5169 2.3079
Cd 7.1693 0.0000 0.0000
Rh 4.3010 4.2622 2.3079
Rh 4.3010 -4.2622 2.3079
Au 4.3010 0.0000 0.0000
```

***

No. 6
Computed powder diffraction line list of DyGaS3 for a wavelength of 1.5418 Å, from DFT lattice parameters and positions (PBE).

Principal peaks in the range 5 to 70 degrees two-theta, low angle first:
2theta	Rel. int.
7.93	100
15.90	45
18.30	38
24.33	39
27.17	76
47.01	34

Cell and atoms:
```
10
Lattice="3.8818 0.0000 0.0000 0.0000 11.1467 3.1970 0.0000 -11.1467 3.1970" Properties=species:S:1:pos:R:3 pbc="T T T"
Dy 0.9704 -7.2472 3.1970
Dy 2.9113 7.2472 3.1970
Ga 0.9704 -2.7767 2.7634
Ga 2.9113 2.7767 2.7634
S 0.9704 -4.8932 1.7150
S 0.9704 1.8145 1.8463
S 0.9704 -2.6912 5.0146
S 2.9113 -1.8145 1.8463
S 2.9113 4.8932 1.7150
S 2.9113 2.6912 5.0146
```